The following is a theoretical X-ray powder pattern of Na2MnGaTe4. It was derived from the GGA-PBE geometry in Alexandria, using Cu Kα X-rays.
Intensities are scaled so that the largest is 100.

Structure:
```
data_Na2MnGaTe4
_chemical_formula_sum 'Na4 Mn2 Ga2 Te8'
_space_group_name_H-M_alt 'C 1 2 1'
_space_group_IT_number 5
_cell_length_a 10.681
_cell_length_b 9.022
_cell_length_c 7.555
_cell_angle_alpha 90.00
_cell_angle_beta 134.97
_cell_angle_gamma 90.00
loop_
_space_group_symop_operation_xyz
'x,y,z'
'-x,y,-z'
'x+1/2,y+1/2,z'
'-x+1/2,y+1/2,-z'
loop_
_atom_site_label
_atom_site_fract_x
_atom_site_fract_y
_atom_site_fract_z
_atom_site_occupancy
Na1 0.000 0.000 0.000 1
Na2 0.000 0.250 0.500 1
Mn1 0.000 0.499 0.000 1
Ga1 0.000 0.749 0.500 1
Te1 0.191 0.604 0.451 1
Te2 0.239 0.895 0.930 1
```

The 12 most intense peaks (10° ≤ 2θ ≤ 80°), in order of rising 2θ:
2θ/deg, I/Imax, (hkl)
15.30, 32, 1 1 -1
23.55, 17, 2 0 0
25.85, 100, 2 2 -1
28.20, 23, 1 1 1
33.55, 32, 4 0 -2
40.14, 12, 1 3 -2
42.83, 31, 4 2 -1
44.38, 21, 1 1 -3
46.91, 26, 2 4 0
47.06, 8, 3 3 0
50.84, 12, 3 1 1
62.30, 9, 1 1 3



The following is a theoretical X-ray powder pattern of PmEr6Sc. It was derived from the GGA-PBE geometry in Alexandria, using Cu Kα X-rays.
Intensities are scaled so that the largest is 100.

Structure:
```
data_PmEr6Sc
_chemical_formula_sum 'Pm3 Er18 Sc3'
_space_group_name_H-M_alt 'R -3 m'
_space_group_IT_number 166
_space_group_name_Hall '-R 3 2"'
_cell_length_a 11.3361
_cell_length_b 11.3361
_cell_length_c 6.6765
_cell_angle_alpha 90.00
_cell_angle_beta 90.00
_cell_angle_gamma 120.00
loop_
_atom_site_label
_atom_site_fract_x
_atom_site_fract_y
_atom_site_fract_z
_atom_site_occupancy
Pm1 0.0000 0.0000 0.0000 1
Er1 0.0101 0.5051 0.2537 1
Sc1 0.0000 0.0000 0.5000 1
```

The 12 most intense peaks (10° ≤ 2θ ≤ 80°), in order of rising 2θ:
2θ/deg, I/Imax, (hkl)
28.24, 26, 0 1 2
31.57, 100, 2 2 0
32.43, 43, 2 0 2
36.20, 28, 1 2 2
42.86, 16, 3 1 2
45.89, 16, 0 4 2
48.78, 12, 2 3 2
56.22, 19, 6 0 0
56.77, 17, 4 2 2
58.40, 18, 0 2 4
65.92, 11, 4 4 0
76.82, 15, 2 4 4